Structure and computed powder X-ray diffraction pattern of KTa5Pb2O15 (a structure optimized by DFT (PBE); Cu Kα (λ = 1.5418 Å)).

Top 12 peaks for 10° ≤ 2θ ≤ 90°, in order of falling intensity:
- 31.62°, I = 100, hkl 1 1 3
- 25.20°, I = 47, hkl 0 3 2
- 27.37°, I = 47, hkl 1 2 1
- 31.39°, I = 46, hkl 0 4 2
- 28.87°, I = 43, hkl 0 1 4
- 56.00°, I = 29, hkl 1 5 5
- 45.68°, I = 25, hkl 2 0 0
- 44.98°, I = 21, hkl 0 2 6
- 13.90°, I = 19, hkl 0 2 0
- 29.99°, I = 19, hkl 1 2 2
- 33.94°, I = 19, hkl 1 2 3
- 22.38°, I = 18, hkl 1 0 0

Cell and atoms:
Lattice parameters (Å, degrees): 3.972 12.730 12.761 90.00 90.00 90.00
Positions (direct):
K: 0.000 0.077 0.000
K: 0.000 0.923 0.500
Ta: 0.500 0.038 0.246
Ta: 0.500 0.174 0.532
Ta: 0.500 0.247 0.829
Ta: 0.500 0.330 0.113
Ta: 0.500 0.464 0.400
Ta: 0.500 0.536 0.900
Ta: 0.500 0.670 0.613
Ta: 0.500 0.753 0.329
Ta: 0.500 0.826 0.032
Ta: 0.500 0.962 0.746
Pb: 0.000 0.253 0.319
Pb: 0.000 0.380 0.655
Pb: 0.000 0.620 0.155
Pb: 0.000 0.747 0.819
O: 0.000 0.047 0.250
O: 0.000 0.181 0.535
O: 0.000 0.257 0.813
O: 0.000 0.325 0.122
O: 0.000 0.454 0.401
O: 0.000 0.546 0.901
O: 0.000 0.675 0.622
O: 0.000 0.743 0.313
O: 0.000 0.819 0.035
O: 0.000 0.953 0.750
O: 0.500 0.040 0.614
O: 0.500 0.096 0.827
O: 0.500 0.109 0.395
O: 0.500 0.182 0.186
O: 0.500 0.251 0.979
O: 0.500 0.263 0.667
O: 0.500 0.318 0.465
O: 0.500 0.386 0.259
O: 0.500 0.407 0.818
O: 0.500 0.465 0.040
O: 0.500 0.535 0.540
O: 0.500 0.593 0.318
O: 0.500 0.614 0.759
O: 0.500 0.682 0.965
O: 0.500 0.737 0.167
O: 0.500 0.749 0.479
O: 0.500 0.818 0.686
O: 0.500 0.891 0.895
O: 0.500 0.904 0.327
O: 0.500 0.960 0.114